Record 1
The following is a theoretical X-ray diffraction stick pattern of Sm4Dy3Sc4. It was derived from a crystal structure in Alexandria, relaxed with GGA-PBE, using Cu Ka.
Neutral-atom scattering factors, no anomalous dispersion.

Structure:
a = 3.423 Å, b = 5.487 Å, c = 17.582 Å
α = 81.04°, β = 84.41°, γ = 90.00°
Element x y z (fractional)
Sm (0.091, 0.091, 0.318)
Sm (0.231, 0.732, 0.037)
Sm (0.769, 0.268, 0.963)
Sm (0.909, 0.909, 0.682)
Dy (0.363, 0.364, 0.772)
Dy (0.500, 0.000, 0.500)
Dy (0.637, 0.636, 0.228)
Sc (0.045, 0.544, 0.412)
Sc (0.182, 0.181, 0.138)
Sc (0.818, 0.819, 0.862)
Sc (0.955, 0.456, 0.588)

Top 12 peaks for 15° ≤ 2θ ≤ 90°, sorted by position:
17.91 deg, I 25
20.56 deg, I 15
31.81 deg, I 46
32.53 deg, I 100
32.64 deg, I 40
32.84 deg, I 78
46.22 deg, I 33
47.57 deg, I 19
58.18 deg, I 19
58.38 deg, I 15
58.88 deg, I 20
64.26 deg, I 23


Record 2
The following is a theoretical X-ray diffraction stick pattern of Sm2Dy2Sc3. It was derived from a crystal structure in Alexandria, relaxed with GGA-PBE, using Cu Ka.
Neutral-atom scattering factors, no anomalous dispersion.

Structure:
a = 5.505 Å, b = 12.070 Å, c = 6.236 Å
α = 90.00°, β = 91.93°, γ = 90.00°
Element x y z (fractional)
Sm (0.038, 0.180, 0.341)
Sm (0.038, 0.320, 0.841)
Sm (0.962, 0.680, 0.159)
Sm (0.962, 0.820, 0.659)
Dy (0.466, 0.655, 0.496)
Dy (0.466, 0.845, 0.996)
Dy (0.534, 0.155, 0.004)
Dy (0.534, 0.345, 0.504)
Sc (0.028, 0.056, 0.789)
Sc (0.028, 0.444, 0.289)
Sc (0.500, 0.000, 0.500)
Sc (0.500, 0.500, 0.000)
Sc (0.972, 0.556, 0.711)
Sc (0.972, 0.944, 0.211)

Top 12 peaks for 15° ≤ 2θ ≤ 90°, sorted by position:
25.86 deg, I 19
29.61 deg, I 26
30.79 deg, I 54
31.31 deg, I 85
32.54 deg, I 100
32.98 deg, I 25
33.40 deg, I 20
33.52 deg, I 24
34.36 deg, I 25
36.69 deg, I 28
49.37 deg, I 32
56.68 deg, I 25


Record 3
The following is a theoretical X-ray diffraction stick pattern of Sm5Dy2Sc. It was derived from a crystal structure in Alexandria, relaxed with GGA-PBE, using Cu Ka.
Neutral-atom scattering factors, no anomalous dispersion.

Structure:
a = 6.154 Å, b = 9.415 Å, c = 9.425 Å
α = 98.41°, β = 102.38°, γ = 102.35°
Element x y z (fractional)
Sm (0.000, 0.000, 0.000)
Sm (0.001, 0.250, 0.751)
Sm (0.004, 0.757, 0.250)
Sm (0.005, 0.508, 0.502)
Sm (0.497, 0.125, 0.876)
Sm (0.501, 0.250, 0.250)
Sm (0.503, 0.378, 0.627)
Sm (0.505, 0.757, 0.752)
Sm (0.507, 0.632, 0.374)
Sm (0.997, 0.125, 0.377)
Dy (0.003, 0.380, 0.125)
Dy (0.009, 0.632, 0.876)
Dy (0.500, 0.000, 0.500)
Dy (0.504, 0.507, 0.002)
Sc (0.003, 0.879, 0.626)
Sc (0.501, 0.877, 0.126)

Top 12 peaks for 15° ≤ 2θ ≤ 90°, sorted by position:
30.76 deg, I 100
35.59 deg, I 34
35.82 deg, I 17
51.22 deg, I 12
51.39 deg, I 24
60.95 deg, I 28
61.24 deg, I 14
64.07 deg, I 12
83.57 deg, I 6
83.82 deg, I 10
86.23 deg, I 5
86.36 deg, I 5


Record 4
The following is a theoretical X-ray diffraction stick pattern of Sm12Dy3Sc. It was derived from a crystal structure in Alexandria, relaxed with GGA-PBE, using Cu Ka.
Neutral-atom scattering factors, no anomalous dispersion.

Structure:
a = 5.080 Å, b = 5.080 Å, c = 20.267 Å
α = 90.00°, β = 90.00°, γ = 90.00°
Element x y z (fractional)
Sm (0.000, 0.000, 0.000)
Sm (0.000, 0.000, 0.247)
Sm (0.000, 0.000, 0.500)
Sm (0.000, 0.000, 0.753)
Sm (0.000, 0.500, 0.121)
Sm (0.000, 0.500, 0.374)
Sm (0.000, 0.500, 0.626)
Sm (0.000, 0.500, 0.879)
Sm (0.500, 0.000, 0.121)
Sm (0.500, 0.000, 0.374)
Sm (0.500, 0.000, 0.626)
Sm (0.500, 0.000, 0.879)
Dy (0.500, 0.500, 0.248)
Dy (0.500, 0.500, 0.500)
Dy (0.500, 0.500, 0.752)
Sc (0.500, 0.500, 0.000)

Top 12 peaks for 15° ≤ 2θ ≤ 90°, sorted by position:
30.51 deg, I 100
35.37 deg, I 51
50.89 deg, I 36
60.46 deg, I 29
60.58 deg, I 14
63.50 deg, I 12
74.76 deg, I 4
74.98 deg, I 2
82.85 deg, I 6
82.96 deg, I 11
85.52 deg, I 11
85.70 deg, I 5


Record 5
The following is a theoretical X-ray diffraction stick pattern of Sm2Dy4Sc5. It was derived from a crystal structure in Alexandria, relaxed with GGA-PBE, using Cu Ka.
Neutral-atom scattering factors, no anomalous dispersion.

Structure:
a = 8.662 Å, b = 3.446 Å, c = 11.401 Å
α = 90.00°, β = 109.09°, γ = 90.00°
Element x y z (fractional)
Sm (0.133, 0.000, 0.406)
Sm (0.867, 0.000, 0.594)
Dy (0.247, 0.500, 0.724)
Dy (0.257, 0.500, 0.152)
Dy (0.743, 0.500, 0.848)
Dy (0.753, 0.500, 0.276)
Sc (0.089, 0.000, 0.899)
Sc (0.496, 0.000, 0.629)
Sc (0.500, 0.000, 0.000)
Sc (0.504, 0.000, 0.371)
Sc (0.911, 0.000, 0.101)

Top 12 peaks for 15° ≤ 2θ ≤ 90°, sorted by position:
16.47 deg, I 29
21.71 deg, I 39
23.57 deg, I 28
27.16 deg, I 41
30.28 deg, I 35
30.81 deg, I 95
31.44 deg, I 78
31.54 deg, I 38
34.01 deg, I 64
34.57 deg, I 100
51.95 deg, I 45
63.12 deg, I 29


Record 6
The following is a theoretical X-ray diffraction stick pattern of SmDy6Sc4. It was derived from a crystal structure in Alexandria, relaxed with GGA-PBE, using Cu Ka.
Neutral-atom scattering factors, no anomalous dispersion.

Structure:
a = 5.450 Å, b = 5.450 Å, c = 24.922 Å
α = 90.00°, β = 90.00°, γ = 119.72°
Element x y z (fractional)
Sm (0.172, 0.828, 0.750)
Sm (0.828, 0.172, 0.250)
Dy (0.161, 0.839, 0.178)
Dy (0.161, 0.839, 0.322)
Dy (0.172, 0.828, 0.597)
Dy (0.172, 0.828, 0.903)
Dy (0.495, 0.505, 0.250)
Dy (0.500, 0.500, 0.000)
Dy (0.500, 0.500, 0.500)
Dy (0.505, 0.495, 0.750)
Dy (0.828, 0.172, 0.097)
Dy (0.828, 0.172, 0.403)
Dy (0.839, 0.161, 0.678)
Dy (0.839, 0.161, 0.822)
Sc (0.164, 0.836, 0.043)
Sc (0.164, 0.836, 0.457)
Sc (0.494, 0.506, 0.123)
Sc (0.494, 0.506, 0.377)
Sc (0.506, 0.494, 0.623)
Sc (0.506, 0.494, 0.877)
Sc (0.836, 0.164, 0.543)
Sc (0.836, 0.164, 0.957)

Top 12 peaks for 15° ≤ 2θ ≤ 90°, sorted by position:
23.63 deg, I 32
25.98 deg, I 20
31.46 deg, I 100
32.72 deg, I 47
32.87 deg, I 92
34.48 deg, I 34
46.05 deg, I 24
55.61 deg, I 17
57.61 deg, I 12
57.81 deg, I 23
58.50 deg, I 17
62.27 deg, I 15


Record 7
The following is a theoretical X-ray diffraction stick pattern of Tb2SmDy2Sc. It was derived from a crystal structure in Alexandria, relaxed with GGA-PBE, using Cu Ka.
Neutral-atom scattering factors, no anomalous dispersion.

Structure:
a = 6.538 Å, b = 17.397 Å, c = 3.332 Å
α = 90.00°, β = 90.00°, γ = 90.00°
Element x y z (fractional)
Tb (0.248, 0.181, 0.000)
Tb (0.252, 0.681, 0.500)
Tb (0.748, 0.319, 0.500)
Tb (0.752, 0.819, 0.000)
Sm (0.000, 0.500, 0.000)
Sm (0.500, 0.000, 0.500)
Dy (0.247, 0.354, 0.500)
Dy (0.253, 0.854, 0.000)
Dy (0.747, 0.146, 0.000)
Dy (0.753, 0.646, 0.500)
Sc (0.000, 0.000, 0.000)
Sc (0.500, 0.500, 0.500)

Top 12 peaks for 15° ≤ 2θ ≤ 90°, sorted by position:
27.27 deg, I 41
29.18 deg, I 55
30.84 deg, I 49
30.95 deg, I 100
31.85 deg, I 14
33.82 deg, I 24
34.32 deg, I 41
38.94 deg, I 40
41.71 deg, I 52
46.88 deg, I 14
56.84 deg, I 20
65.60 deg, I 35


Record 8
The following is a theoretical X-ray diffraction stick pattern of Tb3Sm6Dy2Sc. It was derived from a crystal structure in Alexandria, relaxed with GGA-PBE, using Cu Ka.
Neutral-atom scattering factors, no anomalous dispersion.

Structure:
a = 6.189 Å, b = 6.189 Å, c = 11.763 Å
α = 95.02°, β = 95.02°, γ = 119.99°
Element x y z (fractional)
Tb (0.000, 0.000, 0.000)
Tb (0.333, 0.667, 0.000)
Tb (0.667, 0.333, 0.000)
Sm (0.087, 0.418, 0.253)
Sm (0.251, 0.251, 0.747)
Sm (0.418, 0.087, 0.253)
Sm (0.582, 0.913, 0.747)
Sm (0.749, 0.749, 0.253)
Sm (0.913, 0.582, 0.747)
Dy (0.167, 0.833, 0.500)
Dy (0.833, 0.167, 0.500)
Sc (0.500, 0.500, 0.500)

Top 12 peaks for 15° ≤ 2θ ≤ 90°, sorted by position:
30.67 deg, I 100
30.88 deg, I 33
35.62 deg, I 67
51.12 deg, I 24
51.40 deg, I 23
60.80 deg, I 14
60.93 deg, I 28
61.18 deg, I 14
63.86 deg, I 12
75.43 deg, I 7
83.36 deg, I 12
86.08 deg, I 11